# CsDyAs2O6
Theoretical powder diffractogram, Cu Kα, 1.54184 Å. Input: a PBE-relaxed structure.
Kinematic intensities with the Lorentz-polarization factor, no thermal factor.

Largest 6 diffraction maxima, in order of rising 2θ, 10 to 80 degrees two-theta:
- 3.430 Å, intensity 100, hkl 2 2 -1
- 3.228 Å, intensity 74, hkl 0 0 2
- 3.068 Å, intensity 37, hkl 3 1 0
- 3.008 Å, intensity 70, hkl 1 3 -1
- 2.826 Å, intensity 67, hkl 2 2 1
- 1.882 Å, intensity 28, hkl 1 3 -3

Structure:
```
data_CsDyAs2O6
_chemical_formula_sum 'Cs4 Dy4 As8 O24'
_space_group_name_H-M_alt 'C 1 2/c 1'
_space_group_IT_number 15
_cell_length_a 10.160
_cell_length_b 10.238
_cell_length_c 6.799
_cell_angle_alpha 90.00
_cell_angle_beta 108.27
_cell_angle_gamma 90.00
loop_
_space_group_symop_operation_xyz
'x,y,z'
'-x,-y,-z'
'-x,y,-z+1/2'
'x,-y,z+1/2'
'x+1/2,y+1/2,z'
'-x+1/2,-y+1/2,-z'
'-x+1/2,y+1/2,-z+1/2'
'x+1/2,-y+1/2,z+1/2'
loop_
_atom_site_label
_atom_site_fract_x
_atom_site_fract_y
_atom_site_fract_z
Cs1 0.000 0.202 0.250
Dy1 0.000 0.400 0.750
As1 0.199 0.078 0.803
O1 0.115 0.438 0.104
O2 0.157 0.245 0.753
O3 0.161 0.009 0.046
```


# Bi4S5Cl2
Theoretical powder diffractogram, Cu Kα, 1.54184 Å. Input: a PBE-relaxed structure.
Kinematic intensities with the Lorentz-polarization factor, no thermal factor.

Largest 6 diffraction maxima, in order of rising 2θ, 10 to 80 degrees two-theta:
- 6.416 Å, intensity 52, hkl 2 0 0
- 4.189 Å, intensity 98, hkl 1 1 1
- 3.718 Å, intensity 100, hkl 3 1 -1
- 3.503 Å, intensity 64, hkl 0 2 0
- 2.960 Å, intensity 47, hkl 3 1 -2
- 2.861 Å, intensity 54, hkl 3 1 1

Structure:
```
data_Bi4S5Cl2
_chemical_formula_sum 'Bi8 S10 Cl4'
_space_group_name_H-M_alt 'C 1 2/m 1'
_space_group_IT_number 12
_cell_length_a 13.738
_cell_length_b 7.007
_cell_length_c 7.180
_cell_angle_alpha 90.00
_cell_angle_beta 110.93
_cell_angle_gamma 90.00
loop_
_space_group_symop_operation_xyz
'x,y,z'
'-x,-y,-z'
'-x,y,-z'
'x,-y,z'
'x+1/2,y+1/2,z'
'-x+1/2,-y+1/2,-z'
'-x+1/2,y+1/2,-z'
'x+1/2,-y+1/2,z'
loop_
_atom_site_label
_atom_site_fract_x
_atom_site_fract_y
_atom_site_fract_z
Bi1 0.156 0.000 0.001
Bi2 0.158 0.500 0.340
S1 0.000 0.500 0.000
S2 0.216 0.248 0.735
Cl1 0.057 0.000 0.282
```


# Pm2Pr2Tl3
Theoretical powder diffractogram, Cu Kα, 1.54184 Å. Input: a PBE-relaxed structure.
Kinematic intensities with the Lorentz-polarization factor, no thermal factor.

Largest 6 diffraction maxima, in order of rising 2θ, 10 to 80 degrees two-theta:
- 2.874 Å, intensity 100, hkl 1 2 1
- 2.821 Å, intensity 97, hkl 1 0 2
- 2.671 Å, intensity 41, hkl 0 2 -1
- 2.501 Å, intensity 34, hkl 0 1 3
- 2.274 Å, intensity 27, hkl 2 1 0
- 1.683 Å, intensity 21, hkl 2 2 3

Structure:
```
data_Pm2Pr2Tl3
_chemical_formula_sum 'Pm2 Pr2 Tl3'
_space_group_name_H-M_alt 'P -1'
_space_group_IT_number 2
_cell_length_a 4.549
_cell_length_b 6.384
_cell_length_c 7.889
_cell_angle_alpha 83.69
_cell_angle_beta 89.96
_cell_angle_gamma 69.25
loop_
_space_group_symop_operation_xyz
'x,y,z'
'-x,-y,-z'
loop_
_atom_site_label
_atom_site_fract_x
_atom_site_fract_y
_atom_site_fract_z
Pm1 0.199 0.102 0.153
Pr1 0.071 0.358 0.708
Tl1 0.350 0.800 0.562
Tl2 0.500 0.500 0.000
```


# TaInIrO6
Theoretical powder diffractogram, Cu Kα, 1.54184 Å. Input: a PBE-relaxed structure.
Kinematic intensities with the Lorentz-polarization factor, no thermal factor.

Largest 6 diffraction maxima, in order of rising 2θ, 10 to 80 degrees two-theta:
- 3.379 Å, intensity 100, hkl 1 1 0
- 2.662 Å, intensity 88, hkl 1 0 3
- 2.390 Å, intensity 27, hkl 2 0 0
- 1.778 Å, intensity 67, hkl 2 1 3
- 1.511 Å, intensity 16, hkl 3 1 0
- 1.427 Å, intensity 19, hkl 3 0 3

Structure:
```
data_TaInIrO6
_chemical_formula_sum 'Ta2 In2 Ir2 O12'
_space_group_name_H-M_alt 'P 42 n m'
_space_group_IT_number 102
_cell_length_a 4.779
_cell_length_b 4.779
_cell_length_c 9.614
_cell_angle_alpha 90.00
_cell_angle_beta 90.00
_cell_angle_gamma 90.00
loop_
_space_group_symop_operation_xyz
'x,y,z'
'-y+1/2,x+1/2,z+1/2'
'-x,-y,z'
'y+1/2,-x+1/2,z+1/2'
'-x+1/2,y+1/2,z+1/2'
'y,x,z'
'x+1/2,-y+1/2,z+1/2'
'-y,-x,z'
loop_
_atom_site_label
_atom_site_fract_x
_atom_site_fract_y
_atom_site_fract_z
Ta1 0.000 0.000 0.000
In1 0.000 0.000 0.330
Ir1 0.000 0.000 0.663
O1 0.182 0.182 0.833
O2 0.201 0.201 0.507
O3 0.206 0.206 0.149
```


# Sm2Al2Fe2C
Theoretical powder diffractogram, Cu Kα, 1.54184 Å. Input: a PBE-relaxed structure.
Kinematic intensities with the Lorentz-polarization factor, no thermal factor.

Largest 6 diffraction maxima, in order of rising 2θ, 10 to 80 degrees two-theta:
- 3.679 Å, intensity 60, hkl 1 1 0
- 3.599 Å, intensity 30, hkl 2 0 -2
- 2.727 Å, intensity 71, hkl 1 1 1
- 2.565 Å, intensity 100, hkl 3 1 -2
- 2.316 Å, intensity 69, hkl 2 0 -3
- 2.044 Å, intensity 35, hkl 0 2 0

Structure:
```
data_Sm2Al2Fe2C
_chemical_formula_sum 'Sm4 Al4 Fe4 C2'
_space_group_name_H-M_alt 'C 1 2/m 1'
_space_group_IT_number 12
_cell_length_a 11.007
_cell_length_b 4.089
_cell_length_c 7.199
_cell_angle_alpha 90.00
_cell_angle_beta 130.01
_cell_angle_gamma 90.00
loop_
_space_group_symop_operation_xyz
'x,y,z'
'-x,-y,-z'
'-x,y,-z'
'x,-y,z'
'x+1/2,y+1/2,z'
'-x+1/2,-y+1/2,-z'
'-x+1/2,y+1/2,-z'
'x+1/2,-y+1/2,z'
loop_
_atom_site_label
_atom_site_fract_x
_atom_site_fract_y
_atom_site_fract_z
Sm1 0.055 0.000 0.326
Al1 0.168 0.500 0.106
Fe1 0.191 0.500 0.793
C1 0.000 0.500 0.500
```


# Ac3In9Ni2
Theoretical powder diffractogram, Cu Kα, 1.54184 Å. Input: a PBE-relaxed structure.
Kinematic intensities with the Lorentz-polarization factor, no thermal factor.

Largest 6 diffraction maxima, in order of rising 2θ, 10 to 80 degrees two-theta:
- 3.292 Å, intensity 36, hkl 1 0 3
- 2.956 Å, intensity 54, hkl 1 3 0
- 2.887 Å, intensity 28, hkl 0 3 3
- 2.841 Å, intensity 100, hkl 1 2 3
- 2.400 Å, intensity 43, hkl 2 0 0
- 1.630 Å, intensity 24, hkl 1 6 3

Structure:
```
data_Ac3In9Ni2
_chemical_formula_sum 'Ac6 In18 Ni4'
_space_group_name_H-M_alt 'I m m m'
_space_group_IT_number 71
_space_group_name_Hall '-I 2 2'
_cell_length_a 4.800
_cell_length_b 11.254
_cell_length_c 13.566
_cell_angle_alpha 90.00
_cell_angle_beta 90.00
_cell_angle_gamma 90.00
loop_
_atom_site_label
_atom_site_fract_x
_atom_site_fract_y
_atom_site_fract_z
Ac1 0.000 0.000 0.000
Ac2 0.000 0.000 0.320
In1 0.000 0.279 0.121
In2 0.000 0.366 0.342
In3 0.000 0.500 0.000
Ni1 0.000 0.219 0.500
```


# Ac3Sn2Hg6
Theoretical powder diffractogram, Cu Kα, 1.54184 Å. Input: a PBE-relaxed structure.
Kinematic intensities with the Lorentz-polarization factor, no thermal factor.

Largest 6 diffraction maxima, in order of rising 2θ, 10 to 80 degrees two-theta:
- 3.184 Å, intensity 76, hkl 1 1 2
- 2.798 Å, intensity 100, hkl 1 1 6
- 2.556 Å, intensity 50, hkl 1 1 8
- 2.521 Å, intensity 66, hkl 1 0 11
- 2.294 Å, intensity 83, hkl 2 0 0
- 1.697 Å, intensity 41, hkl 2 1 11

Structure:
```
data_Ac3Sn2Hg6
_chemical_formula_sum 'Ac6 Sn4 Hg12'
_space_group_name_H-M_alt 'I 4/m m m'
_space_group_IT_number 139
_space_group_name_Hall '-I 4 2'
_cell_length_a 4.588
_cell_length_b 4.588
_cell_length_c 33.198
_cell_angle_alpha 90.00
_cell_angle_beta 90.00
_cell_angle_gamma 90.00
loop_
_atom_site_label
_atom_site_fract_x
_atom_site_fract_y
_atom_site_fract_z
Ac1 0.000 0.000 0.000
Ac2 0.000 0.000 0.170
Sn1 0.000 0.000 0.362
Hg1 0.000 0.000 0.270
Hg2 0.000 0.500 0.075
```


# Pm4TmHg4
Theoretical powder diffractogram, Cu Kα, 1.54184 Å. Input: a PBE-relaxed structure.
Kinematic intensities with the Lorentz-polarization factor, no thermal factor.

Largest 6 diffraction maxima, in order of rising 2θ, 10 to 80 degrees two-theta:
- 3.021 Å, intensity 100, hkl 3 1 0
- 2.906 Å, intensity 67, hkl 2 2 1
- 2.780 Å, intensity 83, hkl 3 0 1
- 2.732 Å, intensity 53, hkl 1 0 2
- 2.403 Å, intensity 82, hkl 2 3 1
- 2.372 Å, intensity 89, hkl 2 1 2

Structure:
```
data_Pm4TmHg4
_chemical_formula_sum 'Pm8 Tm2 Hg8'
_space_group_name_H-M_alt 'P 42/n'
_space_group_IT_number 86
_cell_length_a 9.553
_cell_length_b 9.553
_cell_length_c 5.703
_cell_angle_alpha 90.00
_cell_angle_beta 90.00
_cell_angle_gamma 90.00
loop_
_space_group_symop_operation_xyz
'x,y,z'
'-x,-y,-z'
'-y,x+1/2,z+1/2'
'y,-x+1/2,-z+1/2'
'-x+1/2,-y+1/2,z'
'x+1/2,y+1/2,-z'
'y+1/2,-x,z+1/2'
'-y+1/2,x,-z+1/2'
loop_
_atom_site_label
_atom_site_fract_x
_atom_site_fract_y
_atom_site_fract_z
Pm1 0.092 0.837 0.139
Tm1 0.250 0.250 0.750
Hg1 0.053 0.148 0.365
```